SrCa3La2Sb2O12: calculated powder X-ray diffraction pattern (CuKα), based on a cell relaxed with PBE.
Peak positions follow from Bragg's law for the DFT cell and can differ from measured ones.

Structural model:
```
data_SrCa3La2Sb2O12
_symmetry_space_group_name_H-M 'P 1'
_symmetry_Int_Tables_number 1
_symmetry_space_group_name_Hall 'P 1'
_cell_length_a 5.7823
_cell_length_b 5.9479
_cell_length_c 8.3003
_cell_angle_alpha 90.10
_cell_angle_beta 90.18
_cell_angle_gamma 90.18
loop_
_atom_site_label
_atom_site_type_symbol
_atom_site_fract_x
_atom_site_fract_y
_atom_site_fract_z
_atom_site_occupancy
Sr1 Sr 0.0000 0.0000 0.0000 1
Ca1 Ca 0.4871 0.9556 0.7495 1
Ca2 Ca 0.4964 0.4052 0.4983 1
Ca3 Ca 0.9867 0.4476 0.2535 1
La1 La 0.4736 0.5041 0.0014 1
La2 La 0.9754 0.8982 0.5009 1
Sb1 Sb 0.4872 0.9527 0.2539 1
Sb2 Sb 0.9883 0.4515 0.7479 1
O1 O 0.0979 0.4925 0.5191 1
O2 O 0.1696 0.7316 0.8039 1
O3 O 0.2063 0.7635 0.2060 1
O4 O 0.2725 0.2735 0.8065 1
O5 O 0.3192 0.2407 0.1946 1
O6 O 0.3769 0.9995 0.4827 1
O7 O 0.5782 0.9086 0.0207 1
O8 O 0.6654 0.6698 0.3129 1
O9 O 0.7055 0.6336 0.6931 1
O10 O 0.7726 0.1303 0.3071 1
O11 O 0.8181 0.1638 0.6918 1
O12 O 0.8764 0.4229 0.9800 1
```

Top 10 peaks for 2θ = 10–80°, in order of rising 2θ:
2theta, intensity
18.35, 26.5
18.70, 28.3
30.05, 29.8
30.45, 100.0
30.56, 32.5
30.93, 31.1
43.61, 34.3
43.74, 15.1
53.59, 13.6
54.67, 15.0

MnS2: calculated powder X-ray diffraction pattern (CuKα), based on a cell relaxed with PBE.
Peak positions follow from Bragg's law for the DFT cell and can differ from measured ones.

Structural model:
```
data_MnS2
_symmetry_space_group_name_H-M 'P 1 21/c 1'
_symmetry_Int_Tables_number 14
_symmetry_space_group_name_Hall '-P 2ybc'
_cell_length_a 5.8803
_cell_length_b 7.0430
_cell_length_c 6.1097
_cell_angle_alpha 90.00
_cell_angle_beta 114.63
_cell_angle_gamma 90.00
loop_
_atom_site_label
_atom_site_type_symbol
_atom_site_fract_x
_atom_site_fract_y
_atom_site_fract_z
_atom_site_occupancy
Mn1 Mn 0.2116 0.0635 0.4680 1
S1 S 0.0651 0.1455 0.7366 1
S2 S 0.4539 0.0752 0.2635 1
```

Top 10 peaks for 2θ = 10–80°, in order of rising 2θ:
2theta, intensity
20.36, 100.0
20.86, 41.7
25.29, 24.3
35.61, 36.2
37.76, 53.8
42.04, 19.3
45.22, 16.3
48.47, 26.3
51.99, 16.6
62.87, 10.0

BaSrCeBiO6: calculated powder X-ray diffraction pattern (CuKα), based on a cell relaxed with PBE.
Peak positions follow from Bragg's law for the DFT cell and can differ from measured ones.

Structural model:
```
data_BaSrCeBiO6
_symmetry_space_group_name_H-M 'F -4 3 m'
_symmetry_Int_Tables_number 216
_symmetry_space_group_name_Hall 'F -4 2 3'
_cell_length_a 8.8553
_cell_length_b 8.8553
_cell_length_c 8.8553
_cell_angle_alpha 90.00
_cell_angle_beta 90.00
_cell_angle_gamma 90.00
loop_
_atom_site_label
_atom_site_type_symbol
_atom_site_fract_x
_atom_site_fract_y
_atom_site_fract_z
_atom_site_occupancy
Ba1 Ba 0.0000 0.0000 0.0000 1
Sr1 Sr 0.0000 0.0000 0.5000 1
Ce1 Ce 0.2500 0.2500 0.2500 1
Bi1 Bi 0.2500 0.2500 0.7500 1
O1 O 0.0006 0.2500 0.2500 1
```

Top 10 peaks for 2θ = 10–80°, in order of rising 2θ:
2theta, intensity
17.35, 4.5
20.05, 10.7
28.51, 100.0
33.56, 3.0
40.76, 29.8
45.83, 5.0
50.49, 42.4
59.01, 19.3
66.82, 18.8
74.19, 6.4

LuMgAu2: calculated powder X-ray diffraction pattern (CuKα), based on a cell relaxed with PBE.
Peak positions follow from Bragg's law for the DFT cell and can differ from measured ones.

Structural model:
```
data_LuMgAu2
_symmetry_space_group_name_H-M 'F m -3 m'
_symmetry_Int_Tables_number 225
_symmetry_space_group_name_Hall '-F 4 2 3'
_cell_length_a 6.8510
_cell_length_b 6.8510
_cell_length_c 6.8510
_cell_angle_alpha 90.00
_cell_angle_beta 90.00
_cell_angle_gamma 90.00
loop_
_atom_site_label
_atom_site_type_symbol
_atom_site_fract_x
_atom_site_fract_y
_atom_site_fract_z
_atom_site_occupancy
Lu1 Lu 0.0000 0.0000 0.0000 1
Mg1 Mg 0.0000 0.0000 0.5000 1
Au1 Au 0.2500 0.2500 0.2500 1
```

Top 10 peaks for 2θ = 10–80°, in order of rising 2θ:
2theta, intensity
22.48, 14.5
26.01, 13.4
37.12, 100.0
43.83, 7.7
45.88, 4.1
53.50, 17.6
58.75, 3.3
60.43, 5.6
66.91, 36.3
79.07, 11.5

Cr2CoSeS3: calculated powder X-ray diffraction pattern (CuKα), based on a cell relaxed with PBE.
Peak positions follow from Bragg's law for the DFT cell and can differ from measured ones.

Structural model:
```
data_Cr2CoSeS3
_symmetry_space_group_name_H-M 'I m m 2'
_symmetry_Int_Tables_number 44
_symmetry_space_group_name_Hall 'I 2 -2'
_cell_length_a 6.9956
_cell_length_b 6.9996
_cell_length_c 9.8654
_cell_angle_alpha 90.00
_cell_angle_beta 90.00
_cell_angle_gamma 90.00
loop_
_atom_site_label
_atom_site_type_symbol
_atom_site_fract_x
_atom_site_fract_y
_atom_site_fract_z
_atom_site_occupancy
Cr1 Cr 0.0000 0.2497 0.0000 1
Cr2 Cr 0.2313 0.0000 0.7577 1
Co1 Co 0.0000 0.0000 0.4013 1
Co2 Co 0.0000 0.5000 0.6239 1
Se1 Se 0.0000 0.2575 0.2559 1
S1 S 0.0000 0.2479 0.7587 1
S2 S 0.2345 0.0000 0.9995 1
S3 S 0.2340 0.5000 0.0151 1
```

Top 10 peaks for 2θ = 10–80°, in order of rising 2θ:
2theta, intensity
15.53, 15.0
25.48, 35.0
29.98, 100.0
31.34, 15.1
36.31, 47.0
36.43, 24.5
47.77, 29.7
52.29, 36.4
52.38, 71.1
65.40, 14.7

Cr2Co3N4: calculated powder X-ray diffraction pattern (CuKα), based on a cell relaxed with PBE.
Peak positions follow from Bragg's law for the DFT cell and can differ from measured ones.

Structural model:
```
data_Cr2Co3N4
_symmetry_space_group_name_H-M 'C 1 2/c 1'
_symmetry_Int_Tables_number 15
_symmetry_space_group_name_Hall '-C 2yc'
_cell_length_a 8.5055
_cell_length_b 7.1244
_cell_length_c 5.4467
_cell_angle_alpha 90.00
_cell_angle_beta 90.71
_cell_angle_gamma 90.00
loop_
_atom_site_label
_atom_site_type_symbol
_atom_site_fract_x
_atom_site_fract_y
_atom_site_fract_z
_atom_site_occupancy
Cr1 Cr 0.1840 0.1281 0.1514 1
Co1 Co 0.0000 0.1579 0.7500 1
Co2 Co 0.1202 0.3933 0.4878 1
N1 N 0.1050 0.3319 0.9735 1
N2 N 0.1536 0.1048 0.4924 1
```

Top 10 peaks for 2θ = 10–80°, in order of rising 2θ:
2theta, intensity
36.70, 100.0
37.00, 59.9
38.12, 46.0
51.29, 26.4
52.32, 23.4
53.04, 25.1
53.18, 17.2
54.42, 26.6
55.55, 17.4
78.04, 11.8